Entry 1:
Starting from a crystal structure in Alexandria, relaxed with PBE, the powder diffractogram of Pr3Hf was computed for Cu Kα.
Intensities are scaled so that the largest is 100.

The 10 most intense peaks (2θ = 10–80°), by angle:
index  2θ/deg  d/Å  I_rel
0 0 2  28.93  3.086  9
1 0 1  29.04  3.075  15
0 4 0  30.71  2.911  26
1 2 1  32.91  2.722  100
0 4 2  42.74  2.115  16
1 0 3  51.34  1.780  13
1 6 1  56.01  1.642  20
1 4 3  61.02  1.518  14
2 4 0  61.20  1.514  7
2 2 2  62.48  1.487  10

Cell and atoms:
a b c (Å): 3.546 11.646 6.172
angles (deg): 90.00 90.00 90.00
Space group Imm2 (No. 44)
Unique sites:
Pr: 0.000 0.000 0.000 x2
Pr: 0.000 0.236 0.652 x4
Hf: 0.000 0.500 0.982 x2

***

Entry 2:
Starting from a crystal structure in Alexandria, relaxed with PBE, the powder diffractogram of Li4Zn4Au was computed for Cu Kα.
Intensities are scaled so that the largest is 100.

The 10 most intense peaks (2θ = 10–80°), by angle:
index  2θ/deg  d/Å  I_rel
2 0 0  21.88  4.061  65
1 0 1  24.50  3.634  92
3 1 0  34.93  2.569  37
3 0 1  40.02  2.253  100
0 0 2  44.61  2.031  27
3 2 1  46.07  1.970  37
3 3 0  47.49  1.915  31
3 1 2  57.87  1.593  18
5 0 1  61.47  1.508  22
3 3 2  67.19  1.393  27

Cell and atoms:
a b c (Å): 8.123 8.123 4.063
angles (deg): 90.00 90.00 90.00
Space group I4/mmm (No. 139)
Unique sites:
Li: 0.165 0.165 0.000 x8
Zn: 0.000 0.338 0.500 x8
Au: 0.000 0.000 0.500 x2

***

Entry 3:
Starting from a crystal structure in Alexandria, relaxed with PBE, the powder diffractogram of Ca3Dy3MgTe8 was computed for Cu Kα.
Intensities are scaled so that the largest is 100.

The 10 most intense peaks (2θ = 10–80°), by angle:
index  2θ/deg  d/Å  I_rel
0 0 3  12.09  7.319  18
0 2 1  23.79  3.739  7
0 2 4  28.60  3.122  100
2 0 8  40.56  2.224  38
2 2 0  41.20  2.191  37
4 0 4  50.92  1.793  20
0 4 8  59.20  1.561  12
2 2 12  66.58  1.404  17
2 4 4  67.49  1.388  17
4 2 8  74.66  1.271  12

Cell and atoms:
a b c (Å): 8.7639 8.7639 21.9583
angles (deg): 90.00 90.00 120.00
Space group R-3m (No. 166, hexagonal axes)
Unique sites:
Ca: 0.0000 0.5000 0.0000 x9
Dy: 0.0000 0.5000 0.5000 x9
Mg: 0.0000 0.0000 0.5000 x3
Te: 0.0000 0.0000 0.2480 x6
Te: 0.0044 0.5022 0.2457 x18

***

Entry 4:
Starting from a crystal structure in Alexandria, relaxed with PBE, the powder diffractogram of Rb2ScPBr6 was computed for Cu Kα.
Intensities are scaled so that the largest is 100.

The 10 most intense peaks (2θ = 10–80°), by angle:
index  2θ/deg  d/Å  I_rel
0 0 2  13.77  6.429  8
1 0 3  23.97  3.712  7
2 0 2  27.71  3.220  100
0 0 4  27.80  3.209  33
2 2 0  34.08  2.631  51
2 2 4  44.52  2.035  35
4 0 0  48.96  1.861  19
2 0 6  49.12  1.855  11
4 0 4  57.20  1.610  42
4 4 4  78.57  1.218  13

Cell and atoms:
a b c (Å): 7.443 7.443 12.838
angles (deg): 90.00 90.00 90.00
Space group I4/mmm (No. 139)
Unique sites:
Rb: 0.000 0.500 0.250 x4
Sc: 0.000 0.000 0.000 x2
P: 0.000 0.000 0.500 x2
Br: 0.000 0.000 0.207 x4
Br: 0.246 0.246 0.500 x8

***

Entry 5:
Starting from a crystal structure in Alexandria, relaxed with PBE, the powder diffractogram of Hf6Hg2C was computed for Cu Kα.
Intensities are scaled so that the largest is 100.

The 8 most intense peaks (2θ = 10–80°), by angle:
index  2θ/deg  d/Å  I_rel
2 0 2  34.88  2.572  100
2 2 0  40.26  2.240  35
0 0 4  40.96  2.203  17
4 0 0  58.26  1.584  12
2 2 4  58.79  1.571  23
4 2 2  69.73  1.349  27
2 0 6  70.69  1.333  13
4 0 4  73.66  1.286  12

Cell and atoms:
a b c (Å): 6.335 6.335 8.814
angles (deg): 90.00 90.00 90.00
Space group I4/mmm (No. 139)
Unique sites:
Hf: 0.000 0.000 0.243 x4
Hf: 0.250 0.250 0.000 x8
Hg: 0.000 0.500 0.250 x4
C: 0.000 0.000 0.500 x2